No. 1
Theoretical powder diffraction line list
Compound: Sr8MgMn6O20
Radiation: a wavelength of 1.5418 Å
Structure: the PBE+U geometry in the Materials Project

Structural model:
```
data_Sr8MgMn6O20
_chemical_formula_sum 'Sr8 Mg1 Mn6 O20'
_cell_length_a 5.7582
_cell_length_b 6.7265
_cell_length_c 13.6227
_cell_angle_alpha 87.97
_cell_angle_beta 85.00
_cell_angle_gamma 68.25
_space_group_name_H-M_alt 'P 1'
_space_group_IT_number 1
loop_
_space_group_symop_operation_xyz
'x,y,z'
loop_
_atom_site_label
_atom_site_type_symbol
_atom_site_fract_x
_atom_site_fract_y
_atom_site_fract_z
Sr1 Sr 0.0000 0.0000 0.0000
Sr2 Sr 0.0121 0.1189 0.7426
Sr3 Sr 0.3023 0.5347 0.7728
Sr4 Sr 0.3754 0.5423 0.3355
Sr5 Sr 0.5867 0.1133 0.5276
Sr6 Sr 0.6950 0.5970 0.9906
Sr7 Sr 0.7905 0.8395 0.2798
Sr8 Sr 0.8530 0.5379 0.5364
Mg1 Mg 0.3596 0.0963 0.1663
Mn1 Mn 0.1062 0.0665 0.3785
Mn2 Mn 0.2315 0.8071 0.5381
Mn3 Mn 0.3202 0.3411 0.0127
Mn4 Mn 0.5022 0.0618 0.8738
Mn5 Mn 0.6825 0.8003 0.7283
Mn6 Mn 0.8728 0.2819 0.2211
O1 O 0.0053 0.8225 0.4305
O2 O 0.0592 0.2913 0.0992
O3 O 0.0610 0.1416 0.5190
O4 O 0.1448 0.3084 0.3021
O5 O 0.1479 0.9585 0.2431
O6 O 0.1651 0.2663 0.8870
O7 O 0.2324 0.6276 0.0228
O8 O 0.3921 0.5065 0.5241
O9 O 0.3976 0.8400 0.8331
O10 O 0.4426 0.8907 0.4032
O11 O 0.4664 0.8392 0.6224
O12 O 0.4755 0.9993 0.0168
O13 O 0.5433 0.1281 0.7365
O14 O 0.6099 0.2882 0.9174
O15 O 0.6705 0.1556 0.1629
O16 O 0.6810 0.5653 0.2084
O17 O 0.7551 0.2222 0.3532
O18 O 0.7957 0.5024 0.7188
O19 O 0.8413 0.8407 0.8491
O20 O 0.9606 0.8070 0.6442
```

The 10 most intense peaks (2θ from 15° to 90°), most intense first:
d/Å, intensity, hkl
3.394, 100, 0 0 4
2.060, 99, 2 1 5
3.011, 88, 1 2 2
2.823, 88, 1 -1 3
2.889, 82, 1 2 -2
2.852, 79, 2 1 1
2.863, 75, 2 1 0
2.100, 57, 2 1 -4
3.030, 52, -1 1 2
3.322, 40, 1 0 -3

No. 2
Theoretical powder diffraction line list
Compound: Sr8MgMn6O20
Radiation: a wavelength of 1.5418 Å
Structure: the PBE+U geometry in the Materials Project

Structural model:
```
data_Sr8MgMn6O20
_chemical_formula_sum 'Sr8 Mg1 Mn6 O20'
_cell_length_a 5.7116
_cell_length_b 6.7661
_cell_length_c 13.6704
_cell_angle_alpha 87.73
_cell_angle_beta 86.06
_cell_angle_gamma 65.69
_space_group_name_H-M_alt 'P 1'
_space_group_IT_number 1
loop_
_space_group_symop_operation_xyz
'x,y,z'
loop_
_atom_site_label
_atom_site_type_symbol
_atom_site_fract_x
_atom_site_fract_y
_atom_site_fract_z
Sr1 Sr 0.0000 0.0000 0.0000
Sr2 Sr 0.0067 0.8835 0.2527
Sr3 Sr 0.2882 0.4242 0.0151
Sr4 Sr 0.3357 0.4545 0.5922
Sr5 Sr 0.5244 0.0080 0.7907
Sr6 Sr 0.6493 0.8622 0.5441
Sr7 Sr 0.7584 0.4489 0.2066
Sr8 Sr 0.8118 0.4329 0.7831
Mg1 Mg 0.4132 0.6890 0.3936
Mn1 Mn 0.0838 0.9633 0.6448
Mn2 Mn 0.1763 0.7011 0.7979
Mn3 Mn 0.3859 0.2036 0.3072
Mn4 Mn 0.4943 0.9512 0.1387
Mn5 Mn 0.6576 0.6914 0.9869
Mn6 Mn 0.8958 0.2084 0.4728
O1 O 0.0091 0.0295 0.7831
O2 O 0.0604 0.2272 0.3526
O3 O 0.1446 0.8778 0.4985
O4 O 0.1534 0.1530 0.1486
O5 O 0.2367 0.1518 0.6199
O6 O 0.3122 0.5044 0.3120
O7 O 0.3356 0.3980 0.7957
O8 O 0.3879 0.7262 0.8918
O9 O 0.4008 0.7213 0.1000
O10 O 0.4078 0.7346 0.6885
O11 O 0.4857 0.8726 0.2822
O12 O 0.5152 0.0181 0.9991
O13 O 0.6050 0.1649 0.1842
O14 O 0.6394 0.1137 0.4007
O15 O 0.6855 0.5144 0.4787
O16 O 0.7606 0.1653 0.6059
O17 O 0.7920 0.3887 0.9812
O18 O 0.8610 0.7358 0.1149
O19 O 0.9077 0.7131 0.8898
O20 O 0.9455 0.7355 0.6815
```

The 10 most intense peaks (2θ from 15° to 90°), most intense first:
d/Å, intensity, hkl
2.849, 100, 2 1 0
2.741, 75, 1 -1 3
3.043, 63, 1 2 2
2.924, 58, 1 2 -2
2.973, 56, -1 1 2
2.116, 42, 2 1 -4
2.932, 40, 1 1 4
3.409, 37, 0 0 4
2.036, 31, 0 3 1
2.826, 30, 2 1 1

No. 3
Theoretical powder diffraction line list
Compound: Sr8MgMn6O20
Radiation: a wavelength of 1.5418 Å
Structure: the PBE+U geometry in the Materials Project

Structural model:
```
data_Sr8MgMn6O20
_chemical_formula_sum 'Sr8 Mg1 Mn6 O20'
_cell_length_a 5.5591
_cell_length_b 6.7692
_cell_length_c 13.7476
_cell_angle_alpha 88.73
_cell_angle_beta 89.18
_cell_angle_gamma 66.19
_space_group_name_H-M_alt 'P 1'
_space_group_IT_number 1
loop_
_space_group_symop_operation_xyz
'x,y,z'
loop_
_atom_site_label
_atom_site_type_symbol
_atom_site_fract_x
_atom_site_fract_y
_atom_site_fract_z
Sr1 Sr 0.0000 0.0000 0.0000
Sr2 Sr 0.0017 0.9535 0.3001
Sr3 Sr 0.2351 0.5070 0.5356
Sr4 Sr 0.2954 0.4152 0.9608
Sr5 Sr 0.4732 0.0221 0.7720
Sr6 Sr 0.5189 0.9213 0.5094
Sr7 Sr 0.7417 0.5227 0.2906
Sr8 Sr 0.7607 0.4498 0.7558
Mg1 Mg 0.2305 0.5327 0.1664
Mn1 Mn 0.1252 0.7238 0.7870
Mn2 Mn 0.3739 0.2412 0.3069
Mn3 Mn 0.5164 0.9826 0.1492
Mn4 Mn 0.6456 0.6894 0.9844
Mn5 Mn 0.8589 0.2435 0.4934
Mn6 Mn 0.9903 0.9792 0.6386
O1 O 0.0255 0.9091 0.5023
O2 O 0.1036 0.2200 0.3922
O3 O 0.1098 0.2028 0.5981
O4 O 0.1758 0.2388 0.1869
O5 O 0.2188 0.5526 0.3101
O6 O 0.2711 0.4184 0.7862
O7 O 0.3291 0.7600 0.6721
O8 O 0.3773 0.7369 0.8716
O9 O 0.3881 0.6778 0.0797
O10 O 0.4834 0.0237 0.0092
O11 O 0.5156 0.9233 0.2914
O12 O 0.6061 0.2073 0.4109
O13 O 0.6175 0.2513 0.2108
O14 O 0.6543 0.2023 0.6055
O15 O 0.7092 0.5392 0.4846
O16 O 0.8092 0.3891 0.9580
O17 O 0.8635 0.7625 0.6764
O18 O 0.8663 0.7604 0.1346
O19 O 0.8848 0.7502 0.8921
O20 O 0.9634 0.0477 0.7738
```

The 10 most intense peaks (2θ from 15° to 90°), most intense first:
d/Å, intensity, hkl
2.779, 100, 2 1 0
2.708, 61, 1 2 3
3.436, 58, 0 0 4
2.699, 53, -1 1 3
2.987, 39, 1 -1 2
2.950, 39, 1 2 -2
2.146, 34, 2 1 -4
2.176, 32, 2 1 4
2.046, 30, 0 3 1
3.002, 29, -1 1 2

No. 4
Theoretical powder diffraction line list
Compound: Sr8MgMn6O20
Radiation: a wavelength of 1.5418 Å
Structure: the PBE+U geometry in the Materials Project

Structural model:
```
data_Sr8MgMn6O20
_chemical_formula_sum 'Sr8 Mg1 Mn6 O20'
_cell_length_a 5.6010
_cell_length_b 6.7124
_cell_length_c 13.8188
_cell_angle_alpha 91.45
_cell_angle_beta 91.64
_cell_angle_gamma 112.34
_space_group_name_H-M_alt 'P 1'
_space_group_IT_number 1
loop_
_space_group_symop_operation_xyz
'x,y,z'
loop_
_atom_site_label
_atom_site_type_symbol
_atom_site_fract_x
_atom_site_fract_y
_atom_site_fract_z
Sr1 Sr 0.0000 0.0000 0.0000
Sr2 Sr 0.0195 0.8993 0.2608
Sr3 Sr 0.2014 0.4060 0.7970
Sr4 Sr 0.2575 0.4739 0.2223
Sr5 Sr 0.4674 0.9765 0.8040
Sr6 Sr 0.5985 0.8571 0.4370
Sr7 Sr 0.6639 0.3923 0.6012
Sr8 Sr 0.7297 0.4255 0.0287
Mg1 Mg 0.2474 0.7586 0.5871
Mn1 Mn 0.1572 0.2205 0.4878
Mn2 Mn 0.3503 0.6882 0.9947
Mn3 Mn 0.5169 0.9653 0.1397
Mn4 Mn 0.6730 0.2309 0.2987
Mn5 Mn 0.8307 0.6724 0.8036
Mn6 Mn 0.8899 0.9593 0.6561
O1 O 0.0133 0.8901 0.5151
O2 O 0.0683 0.6761 0.7060
O3 O 0.0890 0.6986 0.9060
O4 O 0.1584 0.2281 0.6305
O5 O 0.1645 0.7456 0.1041
O6 O 0.2074 0.3915 0.9968
O7 O 0.2923 0.5280 0.5010
O8 O 0.4091 0.1858 0.1868
O9 O 0.4658 0.1957 0.4058
O10 O 0.4958 0.8790 0.2697
O11 O 0.5125 0.0231 0.0013
O12 O 0.5816 0.0127 0.6031
O13 O 0.5907 0.6968 0.8983
O14 O 0.6121 0.6962 0.7010
O15 O 0.6129 0.7281 0.0968
O16 O 0.6808 0.3688 0.7985
O17 O 0.8197 0.5192 0.2866
O18 O 0.8543 0.1629 0.1655
O19 O 0.9478 0.1808 0.3664
O20 O 0.9810 0.0024 0.8020
```

The 10 most intense peaks (2θ from 15° to 90°), most intense first:
d/Å, intensity, hkl
2.796, 100, 2 -1 0
2.759, 37, 0 0 5
2.969, 32, 1 -2 2
2.934, 26, -1 2 2
2.682, 25, 1 -2 3
2.986, 24, 1 1 2
2.145, 24, 2 -1 4
3.370, 20, 1 0 3
3.102, 19, 0 2 0
2.856, 18, -1 1 4

No. 5
Theoretical powder diffraction line list
Compound: Sr3MgMn2O7
Radiation: a wavelength of 1.5418 Å
Structure: the PBE+U geometry in the Materials Project

Structural model:
```
data_Sr3MgMn2O7
_chemical_formula_sum 'Sr6 Mg2 Mn4 O14'
_cell_length_a 3.7791
_cell_length_b 3.7791
_cell_length_c 25.4666
_cell_angle_alpha 90.00
_cell_angle_beta 90.00
_cell_angle_gamma 90.00
_space_group_name_H-M_alt 'I -4 m 2'
_space_group_IT_number 119
_space_group_name_Hall 'I -4 -2'
loop_
_atom_site_label
_atom_site_type_symbol
_atom_site_fract_x
_atom_site_fract_y
_atom_site_fract_z
Sr1 Sr 0.0000 0.0000 0.0000
Sr2 Sr 0.0000 0.0000 0.1578
Mg1 Mg 0.0000 0.5000 0.7500
Mn1 Mn 0.0000 0.0000 0.4190
O1 O 0.0000 0.0000 0.2907
O2 O 0.0000 0.0000 0.5000
O3 O 0.0000 0.5000 0.0920
O4 O 0.0000 0.5000 0.5942
```

The 10 most intense peaks (2θ from 15° to 90°), most intense first:
d/Å, intensity, hkl
2.621, 100, 1 0 7
2.672, 47, 1 1 0
1.890, 38, 2 0 0
3.035, 37, 1 0 5
2.262, 36, 1 1 6
1.533, 35, 2 1 7
2.122, 17, 0 0 12
1.411, 16, 2 0 12
3.452, 13, 1 0 3
1.662, 13, 1 1 12

No. 6
Theoretical powder diffraction line list
Compound: Sr8MgMn6O20
Radiation: a wavelength of 1.5418 Å
Structure: the PBE+U geometry in the Materials Project

Structural model:
```
data_Sr8MgMn6O20
_chemical_formula_sum 'Sr16 Mg2 Mn12 O40'
_cell_length_a 12.3444
_cell_length_b 5.5875
_cell_length_c 13.5983
_cell_angle_alpha 90.00
_cell_angle_beta 90.66
_cell_angle_gamma 90.00
_space_group_name_H-M_alt 'C 1 m 1'
_space_group_IT_number 8
loop_
_space_group_symop_operation_xyz
'x,y,z'
'x,-y,z'
'x+1/2,y+1/2,z'
'x+1/2,-y+1/2,z'
loop_
_atom_site_label
_atom_site_type_symbol
_atom_site_fract_x
_atom_site_fract_y
_atom_site_fract_z
Sr1 Sr 0.0000 0.0000 0.0000
Sr2 Sr 0.0054 0.5000 0.2451
Sr3 Sr 0.0336 0.0000 0.4695
Sr4 Sr 0.0469 0.5000 0.6796
Sr5 Sr 0.2495 0.5000 0.4918
Sr6 Sr 0.2563 0.0000 0.7155
Sr7 Sr 0.2804 0.0000 0.0103
Sr8 Sr 0.2973 0.5000 0.2233
Mg1 Mg 0.4909 0.0000 0.8825
Mn1 Mn 0.1373 0.0000 0.2081
Mn2 Mn 0.1386 0.5000 0.0194
Mn3 Mn 0.2693 0.0000 0.3545
Mn4 Mn 0.2719 0.5000 0.8605
Mn5 Mn 0.3976 0.0000 0.5035
Mn6 Mn 0.4111 0.5000 0.7045
O1 O 0.0512 0.5000 0.5046
O2 O 0.0606 0.0000 0.6827
O3 O 0.1347 0.2755 0.9111
O4 O 0.1553 0.2514 0.1149
O5 O 0.1566 0.2269 0.3173
O6 O 0.2346 0.0000 0.4919
O7 O 0.2434 0.5000 0.7209
O8 O 0.2986 0.5000 0.0018
O9 O 0.3046 0.0000 0.2172
O10 O 0.3784 0.2323 0.3898
O11 O 0.3879 0.2441 0.5998
O12 O 0.3940 0.2492 0.8248
O13 O 0.4823 0.0000 0.0275
O14 O 0.4893 0.5000 0.1972
```

The 10 most intense peaks (2θ from 15° to 90°), most intense first:
d/Å, intensity, hkl
2.687, 100, 3 1 -3
2.794, 99, 0 2 0
2.967, 71, 3 1 2
2.158, 66, 0 2 4
3.399, 60, 0 0 4
2.071, 53, 4 2 0
2.989, 32, 3 1 -2
3.377, 30, 1 1 3
2.663, 30, 3 1 3
2.038, 26, 6 0 -1

No. 7
Theoretical powder diffraction line list
Compound: Sr3MgMn2O7
Radiation: a wavelength of 1.5418 Å
Structure: the PBE+U geometry in the Materials Project

Structural model:
```
data_Sr3MgMn2O7
_chemical_formula_sum 'Sr3 Mg1 Mn2 O7'
_cell_length_a 3.8116
_cell_length_b 3.9854
_cell_length_c 11.7243
_cell_angle_alpha 90.03
_cell_angle_beta 90.20
_cell_angle_gamma 90.00
_space_group_name_H-M_alt 'P 1'
_space_group_IT_number 1
loop_
_space_group_symop_operation_xyz
'x,y,z'
loop_
_atom_site_label
_atom_site_type_symbol
_atom_site_fract_x
_atom_site_fract_y
_atom_site_fract_z
Sr1 Sr 0.0000 0.0000 0.0000
Sr2 Sr 0.0036 0.0008 0.2983
Sr3 Sr 0.5105 0.4996 0.5201
Mg1 Mg 0.5036 0.5018 0.8079
Mn1 Mn 0.0058 0.0017 0.6948
Mn2 Mn 0.5014 0.5008 0.1487
O1 O 0.0014 0.5007 0.1465
O2 O 0.0039 0.5017 0.7202
O3 O 0.0083 0.0018 0.5171
O4 O 0.5011 0.0008 0.1477
O5 O 0.5009 0.5001 0.9753
O6 O 0.5027 0.5023 0.3191
O7 O 0.5071 0.0017 0.7699
```

The 10 most intense peaks (2θ from 15° to 90°), most intense first:
d/Å, intensity, hkl
2.755, 100, 1 1 0
2.790, 63, 0 1 3
2.733, 37, 1 0 -3
2.724, 36, 1 0 3
1.993, 36, 0 2 0
1.609, 29, -1 2 3
1.906, 29, 2 0 0
1.377, 18, 2 2 0
2.931, 15, 0 0 4
1.596, 13, -1 1 6

No. 8
Theoretical powder diffraction line list
Compound: Sr8MgMn6O20
Radiation: a wavelength of 1.5418 Å
Structure: the PBE+U geometry in the Materials Project

Structural model:
```
data_Sr8MgMn6O20
_chemical_formula_sum 'Sr16 Mg2 Mn12 O40'
_cell_length_a 12.3758
_cell_length_b 5.5556
_cell_length_c 13.9756
_cell_angle_alpha 90.00
_cell_angle_beta 90.44
_cell_angle_gamma 90.00
_space_group_name_H-M_alt 'C 1 2/m 1'
_space_group_IT_number 12
loop_
_space_group_symop_operation_xyz
'x,y,z'
'-x,-y,-z'
'-x,y,-z'
'x,-y,z'
'x+1/2,y+1/2,z'
'-x+1/2,-y+1/2,-z'
'-x+1/2,y+1/2,-z'
'x+1/2,-y+1/2,z'
loop_
_atom_site_label
_atom_site_type_symbol
_atom_site_fract_x
_atom_site_fract_y
_atom_site_fract_z
Sr1 Sr 0.0301 0.0000 0.1269
Sr2 Sr 0.0431 0.5000 0.3026
Sr3 Sr 0.2404 0.0000 0.3896
Sr4 Sr 0.2434 0.5000 0.1000
Mg1 Mg 0.0000 0.5000 0.5000
Mn1 Mn 0.0000 0.0000 0.5000
Mn2 Mn 0.0000 0.5000 0.0000
Mn3 Mn 0.1232 0.0000 0.6621
Mn4 Mn 0.1308 0.5000 0.8527
O1 O 0.0402 0.0000 0.3616
O2 O 0.0429 0.5000 0.1324
O3 O 0.1031 0.2441 0.5382
O4 O 0.1085 0.2518 0.7629
O5 O 0.1090 0.2691 0.9651
O6 O 0.2223 0.0000 0.1484
O7 O 0.2279 0.5000 0.3407
```

The 10 most intense peaks (2θ from 15° to 90°), most intense first:
d/Å, intensity, hkl
2.778, 100, 0 2 0
3.000, 96, 3 1 -2
2.880, 79, 1 1 -4
2.174, 62, 0 2 4
2.692, 58, 3 1 3
2.986, 54, 3 1 2
2.067, 46, 4 2 0
1.644, 39, 3 3 -2
3.494, 34, 0 0 4
2.043, 27, 6 0 -1